Structure and simulated powder diffraction line list of Li2VO2F (a cell relaxed with GGA+U; Cu Kα, 1.54184 Å).
No peak broadening, texture or thermal motion is included.

```
data_Li2VO2F
_chemical_formula_sum 'Li16 V8 O16 F8'
_space_group_name_H-M_alt 'C 1 m 1'
_space_group_IT_number 8
_space_group_name_Hall 'C -2y'
_cell_length_a 14.7051
_cell_length_b 6.0225
_cell_length_c 5.2072
_cell_angle_alpha 90.00
_cell_angle_beta 90.18
_cell_angle_gamma 90.00
loop_
_atom_site_label
_atom_site_type_symbol
_atom_site_fract_x
_atom_site_fract_y
_atom_site_fract_z
Li1 Li 0.0000 0.0000 0.0000
Li2 Li 0.0025 0.2275 0.5284
Li3 Li 0.0081 0.5000 0.0210
Li4 Li 0.3535 0.0000 0.3469
Li5 Li 0.3609 0.5000 0.3858
Li6 Li 0.3631 0.2584 0.8339
V1 V 0.1773 0.2446 0.1894
V2 V 0.1787 0.5000 0.6711
V3 V 0.1799 0.0000 0.6890
O1 O 0.1036 0.0000 0.3605
O2 O 0.1051 0.5000 0.3368
O3 O 0.1086 0.2582 0.8537
O4 O 0.2536 0.0000 0.0264
O5 O 0.2538 0.2509 0.5137
O6 O 0.4299 0.5000 0.6904
F1 F 0.2611 0.5000 0.0172
F2 F 0.4292 0.2429 0.1844
F3 F 0.4313 0.0000 0.6842
```

Principal peaks in the range 2θ = 10–90°, by angle:
- 12.04°, I = 1000
- 24.21°, I = 301
- 34.42°, I = 238
- 36.59°, I = 157
- 42.49°, I = 548
- 42.61°, I = 227
- 51.14°, I = 91
- 61.66°, I = 245
- 61.70°, I = 47
- 61.82°, I = 138
- 67.19°, I = 51
- 77.77°, I = 89